[1]
Diffraction record for Pu3Ge6Pd20. The X-ray diffraction stick pattern is theoretical, not measured: it uses a PBE-relaxed structure and Cu Kα (λ = 1.5418 Å).

```
Pu3Ge6Pd20
1.0
0.0000 6.2788 6.2788
6.2788 0.0000 6.2788
6.2788 6.2788 0.0000
Pu Ge Pd
3 6 20
direct
0.0000 0.0000 0.0000
0.2500 0.2500 0.2500
0.7500 0.7500 0.7500
0.2686 0.2686 0.7314
0.2686 0.7314 0.2686
0.2686 0.7314 0.7314
0.7314 0.2686 0.2686
0.7314 0.2686 0.7314
0.7314 0.7314 0.2686
0.0000 0.0000 0.3476
0.0000 0.0000 0.6524
0.0000 0.3476 0.0000
0.0000 0.3476 0.6524
0.0000 0.6524 0.0000
0.0000 0.6524 0.3476
0.1463 0.6179 0.6179
0.3476 0.0000 0.0000
0.3476 0.0000 0.6524
0.3476 0.6524 0.0000
0.3821 0.3821 0.3821
0.3821 0.3821 0.8537
0.3821 0.8537 0.3821
0.6179 0.1463 0.6179
0.6179 0.6179 0.1463
0.6179 0.6179 0.6179
0.6524 0.0000 0.0000
0.6524 0.0000 0.3476
0.6524 0.3476 0.0000
0.8537 0.3821 0.3821
```

Main lines, sorted by position (15 to 90 degrees two-theta):
Position (°2θ)	I/Imax
31.87	18
35.01	44
37.20	100
40.64	60
42.59	17
48.06	24
62.79	33
73.95	31


[2]
Diffraction record for PmSmHgO. The X-ray diffraction stick pattern is theoretical, not measured: it uses a PBE-relaxed structure and Cu Kα (λ = 1.5418 Å).

```
PmSmHgO
1.0
-1.8731 1.8781 6.8570
1.8731 -1.8781 6.8570
1.8731 1.8781 -6.8570
Pm Sm Hg O
1 1 1 1
direct
0.0000 0.0000 0.0000
0.3053 0.3053 0.0000
0.6528 0.6528 0.0000
0.4015 0.9015 0.5000
```

Main lines, sorted by position (15 to 90 degrees two-theta):
Position (°2θ)	I/Imax
30.83	100
33.79	38
39.42	11
48.47	8
52.88	21
58.62	33
66.20	8
86.23	8


[3]
Diffraction record for Sr3HfMo. The X-ray diffraction stick pattern is theoretical, not measured: it uses a PBE-relaxed structure and Cu Kα (λ = 1.5418 Å).

```
Sr3HfMo
1.0
5.6806 0.0000 0.0000
0.0000 5.6806 0.0000
0.0000 0.0000 5.6806
Sr Hf Mo
3 1 1
direct
0.0000 0.0000 0.5000
0.0000 0.5000 0.0000
0.5000 0.0000 0.0000
0.5000 0.5000 0.5000
0.0000 0.0000 0.0000
```

Main lines, sorted by position (15 to 90 degrees two-theta):
Position (°2θ)	I/Imax
22.13	57
27.19	78
31.50	100
38.83	27
45.14	73
53.50	36
56.08	25
74.73	33


[4]
Diffraction record for Pm3SeO7. The X-ray diffraction stick pattern is theoretical, not measured: it uses a PBE-relaxed structure and Cu Kα (λ = 1.5418 Å).

```
Pm3SeO7
1.0
3.8738 -5.3728 0.0000
3.8738 5.3728 0.0000
0.0000 0.0000 7.6287
Pm Se O
6 2 14
direct
0.0336 0.4979 0.2565
0.0403 0.0403 0.0000
0.4979 0.0336 0.7435
0.5021 0.9664 0.2435
0.9597 0.9597 0.5000
0.9664 0.5021 0.7565
0.4920 0.4920 0.5000
0.5080 0.5080 0.0000
0.1302 0.8698 0.7500
0.1374 0.8626 0.2500
0.1742 0.4239 0.9802
0.2083 0.4507 0.5319
0.4239 0.1742 0.0198
0.4454 0.5546 0.2500
0.4507 0.2083 0.4681
0.5493 0.7917 0.9681
0.5546 0.4454 0.7500
0.5761 0.8258 0.5198
0.7917 0.5493 0.0319
0.8258 0.5761 0.4802
0.8626 0.1374 0.7500
0.8698 0.1302 0.2500
```

Main lines, sorted by position (15 to 90 degrees two-theta):
Position (°2θ)	I/Imax
28.40	100
28.70	100
32.96	44
33.35	21
47.62	73
55.92	21
56.44	28
77.09	15


What is the formula in the fourth record?
Pm3SeO7


Number 4 is which compound?
Pm3SeO7